Record 1
Starting from a DFT-relaxed cell (GGA-PBE, Alexandria), the X-ray diffraction stick pattern of La5Tb6Ho2 was computed for a wavelength of 1.5418 Å.
Kinematic intensities with the Lorentz-polarization factor, no thermal factor.

Crystal structure
```
data_La5Tb6Ho2
_symmetry_space_group_name_H-M 'P b a m'
_symmetry_Int_Tables_number 55
_cell_length_a 11.732
_cell_length_b 20.827
_cell_length_c 3.641
_cell_angle_alpha 90.00
_cell_angle_beta 90.00
_cell_angle_gamma 90.00
loop_
_symmetry_equiv_pos_as_xyz
'x,y,z'
'-x,-y,-z'
'-x,-y,z'
'x,y,-z'
'x+1/2,-y+1/2,-z'
'-x+1/2,y+1/2,z'
'-x+1/2,y+1/2,-z'
'x+1/2,-y+1/2,z'
loop_
_atom_site_label
_atom_site_type_symbol
_atom_site_fract_x
_atom_site_fract_y
_atom_site_fract_z
_atom_site_occupancy
La1 La 0.000 0.000 0.000 1
La2 La 0.079 0.272 0.000 1
La3 La 0.199 0.550 0.000 1
Tb1 Tb 0.063 0.419 0.500 1
Tb2 Tb 0.080 0.131 0.500 1
Tb3 Tb 0.176 0.860 0.000 1
Ho1 Ho 0.175 0.711 0.500 1
```

Main lines, in order of falling intensity (10 to 90 degrees two-theta):
30.97°, I 100; 31.67°, I 84; 30.79°, I 58; 33.72°, I 41; 36.12°, I 41; 59.97°, I 21



Record 2
Starting from a DFT-relaxed cell (GGA-PBE, Alexandria), the X-ray diffraction stick pattern of PrNiH6Ru was computed for a wavelength of 1.5418 Å.
Kinematic intensities with the Lorentz-polarization factor, no thermal factor.

Crystal structure
```
data_PrNiH6Ru
_symmetry_space_group_name_H-M 'P -6 m 2'
_symmetry_Int_Tables_number 187
_symmetry_space_group_name_Hall 'P -6 2'
_cell_length_a 4.6137
_cell_length_b 4.6137
_cell_length_c 4.3682
_cell_angle_alpha 90.00
_cell_angle_beta 90.00
_cell_angle_gamma 120.00
loop_
_atom_site_label
_atom_site_type_symbol
_atom_site_fract_x
_atom_site_fract_y
_atom_site_fract_z
_atom_site_occupancy
Pr1 Pr 0.0000 0.0000 0.0000 1
Ni1 Ni 0.3333 0.6667 0.5000 1
H1 H 0.0008 0.5004 0.2471 1
Ru1 Ru 0.6667 0.3333 0.5000 1
```

Main lines, in order of falling intensity (10 to 90 degrees two-theta):
30.32°, I 100; 39.05°, I 46; 58.17°, I 28; 50.22°, I 24; 65.38°, I 21; 41.34°, I 12



Record 3
Starting from a DFT-relaxed cell (GGA-PBE, Alexandria), the X-ray diffraction stick pattern of ErSc2Zn3 was computed for a wavelength of 1.5418 Å.
Kinematic intensities with the Lorentz-polarization factor, no thermal factor.

Crystal structure
```
data_ErSc2Zn3
_symmetry_space_group_name_H-M 'P 4/m m m'
_symmetry_Int_Tables_number 123
_symmetry_space_group_name_Hall '-P 4 2'
_cell_length_a 3.411
_cell_length_b 3.411
_cell_length_c 10.248
_cell_angle_alpha 90.00
_cell_angle_beta 90.00
_cell_angle_gamma 90.00
loop_
_atom_site_label
_atom_site_type_symbol
_atom_site_fract_x
_atom_site_fract_y
_atom_site_fract_z
_atom_site_occupancy
Er1 Er 0.000 0.000 0.000 1
Sc1 Sc 0.000 0.000 0.339 1
Zn1 Zn 0.500 0.500 0.183 1
Zn2 Zn 0.500 0.500 0.500 1
```

Main lines, in order of falling intensity (10 to 90 degrees two-theta):
37.26°, I 100; 67.19°, I 32; 53.72°, I 16; 27.56°, I 11; 31.51°, I 11; 79.42°, I 10